Record 1
Diffraction record for Li2La3Ti2Nb2O13. The powder X-ray diffraction pattern is simulated, not measured: it uses a crystal structure in the Materials Project, relaxed with PBE and Cu Kα.
Lines closer than 0.1° are merged.

Peak list (10 most intense, 2θ = 5–70°, sorted by position)
2θ = 5.24°, d = 16.865 Å, I = 48
2θ = 10.49°, d = 8.433 Å, I = 29
2θ = 25.84°, d = 3.448 Å, I = 30
2θ = 28.96°, d = 3.083 Å, I = 58
2θ = 31.53°, d = 2.837 Å, I = 75
2θ = 32.70°, d = 2.739 Å, I = 100
2θ = 38.24°, d = 2.354 Å, I = 20
2θ = 45.20°, d = 2.006 Å, I = 55
2θ = 54.20°, d = 1.692 Å, I = 25
2θ = 56.92°, d = 1.618 Å, I = 32

```
data_Li2La3Ti2Nb2O13
_cell_length_a 33.9585
_cell_length_b 4.0114
_cell_length_c 4.0130
_cell_angle_alpha 90.00
_cell_angle_beta 96.64
_cell_angle_gamma 90.00
_space_group_name_H-M_alt 'C 1 m 1'
_space_group_IT_number 8
loop_
_space_group_symop_operation_xyz
'x,y,z'
'x,-y,z'
'x+1/2,y+1/2,z'
'x+1/2,-y+1/2,z'
loop_
_atom_site_label
_atom_site_fract_x
_atom_site_fract_y
_atom_site_fract_z
Li1 0.0000 0.0000 0.0000
Li2 0.9997 0.5000 0.4954
La1 0.1305 0.5000 0.1283
La2 0.2504 0.5000 0.2403
La3 0.3696 0.5000 0.3824
Ti1 0.1920 0.0000 0.6907
Ti2 0.3084 0.0000 0.8092
Nb1 0.0706 0.0000 0.5686
Nb2 0.4292 0.0000 0.9324
O1 0.0140 0.0000 0.5095
O2 0.0794 0.0000 0.0768
O3 0.0794 0.5000 0.5789
O4 0.1337 0.0000 0.6278
O5 0.1922 0.5000 0.6921
O6 0.1928 0.0000 0.1916
O7 0.2502 0.0000 0.7556
O8 0.3075 0.0000 0.3088
O9 0.3084 0.5000 0.8093
O10 0.3665 0.0000 0.8642
O11 0.4202 0.5000 0.9254
O12 0.4209 0.0000 0.4230
O13 0.4858 0.0000 0.9828
```

***

Record 2
Diffraction record for Li8La4TiNb7O28. The powder X-ray diffraction pattern is simulated, not measured: it uses a crystal structure in the Materials Project, relaxed with PBE and Cu Kα.
Lines closer than 0.1° are merged.

Peak list (10 most intense, 2θ = 5–70°, sorted by position)
2θ = 9.59°, d = 9.225 Å, I = 100
2θ = 26.58°, d = 3.354 Å, I = 98
2θ = 31.63°, d = 2.829 Å, I = 42
2θ = 33.02°, d = 2.713 Å, I = 59
2θ = 33.12°, d = 2.705 Å, I = 16
2θ = 39.05°, d = 2.306 Å, I = 16
2θ = 45.33°, d = 2.000 Å, I = 34
2θ = 51.10°, d = 1.788 Å, I = 21
2θ = 53.32°, d = 1.718 Å, I = 28
2θ = 57.22°, d = 1.610 Å, I = 26

```
data_Li8La4TiNb7O28
_cell_length_a 8.0051
_cell_length_b 7.9983
_cell_length_c 18.4509
_cell_angle_alpha 90.00
_cell_angle_beta 90.03
_cell_angle_gamma 90.00
_space_group_name_H-M_alt 'C 1 m 1'
_space_group_IT_number 8
loop_
_space_group_symop_operation_xyz
'x,y,z'
'x,-y,z'
'x+1/2,y+1/2,z'
'x+1/2,-y+1/2,z'
loop_
_atom_site_label
_atom_site_fract_x
_atom_site_fract_y
_atom_site_fract_z
Li1 0.0000 0.0000 0.0000
Li2 0.0025 0.0000 0.5245
Li3 0.0046 0.5000 0.4958
Li4 0.0100 0.5000 0.0290
Li5 0.2533 0.2510 0.5098
Li6 0.2537 0.2544 0.0151
La1 0.0046 0.2597 0.2555
La2 0.2436 0.0000 0.7614
La3 0.2631 0.5000 0.7614
Ti1 0.2551 0.5000 0.1457
Nb1 0.0033 0.2523 0.6457
Nb2 0.0033 0.2523 0.8772
Nb3 0.2513 0.0000 0.1453
Nb4 0.2514 0.0000 0.3763
Nb5 0.2556 0.5000 0.3746
O1 0.0026 0.0000 0.1767
O2 0.0032 0.0000 0.6412
O3 0.0030 0.0000 0.8807
O4 0.0033 0.1990 0.7611
O5 0.0032 0.2738 0.5437
O6 0.0033 0.2738 0.9789
O7 0.0027 0.5000 0.3825
O8 0.0033 0.5000 0.6786
O9 0.0034 0.5000 0.8437
O10 0.0037 0.0000 0.3442
O11 0.0042 0.5000 0.1437
O12 0.2024 0.5000 0.2616
O13 0.2290 0.0000 0.4789
O14 0.2303 0.0000 0.0433
O15 0.2532 0.2495 0.3587
O16 0.2533 0.2500 0.6654
O17 0.2533 0.2501 0.8566
O18 0.2529 0.2513 0.1643
O19 0.2747 0.5000 0.0475
O20 0.2767 0.5000 0.4779
O21 0.3025 0.0000 0.2614
```